Record 1
PmSm6Y2Er: computed PXRD pattern (Cu Kα (λ = 1.5418 Å)), based on the PBE geometry in Alexandria.

Main lines, sorted by position (2θ from 10° to 80°):
2theta	d [Å]	Rel. int.	index
28.20	3.165	68	1 3 2
30.04	2.975	100	3 1 -1
30.59	2.923	80	0 2 3
30.71	2.911	92	2 2 2
30.98	2.887	72	1 5 0
31.26	2.861	65	2 4 -1
32.10	2.788	27	1 5 -1
33.91	2.644	61	1 3 -3
34.63	2.590	36	2 2 -3
59.69	1.549	28	2 0 -6

Cell and atoms:
Cell lengths 9.3186, 15.1899, 9.5555 Å; angles 90.00, 96.16, 90.00 degrees
Space group C2/c (No. 15)
Inequivalent atoms, fractional coordinates:
Pm 0.0000 0.0309 0.2500 [4 per cell]
Sm 0.0617 0.1791 0.9431 [8 per cell]
Sm 0.0951 0.3877 0.1167 [8 per cell]
Sm 0.2147 0.2241 0.3145 [8 per cell]
Y 0.2477 0.4513 0.4511 [8 per cell]
Er 0.0000 0.4106 0.7500 [4 per cell]



Record 2
SrCa6Cd2: computed PXRD pattern (Cu Kα (λ = 1.5418 Å)), based on the PBE geometry in Alexandria.

Main lines, sorted by position (2θ from 10° to 80°):
2theta	d [Å]	Rel. int.	index
16.85	5.261	23	1 0 0
23.92	3.720	27	1 1 0
24.96	3.567	35	1 1 1
27.23	3.275	31	1 0 3
27.88	3.201	100	1 1 2
33.24	2.696	41	1 0 4
34.08	2.631	66	2 0 0
39.78	2.266	24	1 0 5
48.34	1.883	28	2 1 4
57.28	1.608	23	3 1 2

Cell and atoms:
Cell lengths 5.2615, 5.2615, 12.5552 Å; angles 90.00, 90.00, 90.00 degrees
Space group P4/mmm (No. 123)
Inequivalent atoms, fractional coordinates:
Sr 0.0000 0.0000 0.0000 [1 per cell]
Ca 0.0000 0.0000 0.5000 [1 per cell]
Ca 0.0000 0.5000 0.2662 [4 per cell]
Ca 0.5000 0.5000 0.5000 [1 per cell]
Cd 0.5000 0.5000 0.1118 [2 per cell]



Record 3
WCl6: computed PXRD pattern (Cu Kα (λ = 1.5418 Å)), based on the PBE geometry in Alexandria.

Main lines, sorted by position (2θ from 10° to 80°):
2theta	d [Å]	Rel. int.	index
15.18	5.838	43	1 0 1
15.53	5.705	91	0 2 0
16.23	5.461	100	2 1 0
17.07	5.195	65	1 1 1
19.59	4.531	16	2 0 1
21.80	4.077	28	1 2 1
30.69	2.913	31	2 3 1
34.78	2.579	22	3 3 1
42.27	2.138	16	2 5 0
45.67	1.987	17	5 0 2

Cell and atoms:
Cell lengths 12.4456, 11.3949, 6.6098 Å; angles 90.00, 90.00, 90.00 degrees
Space group Pnma (No. 62)
Inequivalent atoms, fractional coordinates:
W 0.1290 0.2500 0.0889 [4 per cell]
Cl 0.0171 0.2500 0.8105 [4 per cell]
Cl 0.0244 0.1067 0.2375 [8 per cell]
Cl 0.2339 0.1069 0.9400 [8 per cell]
Cl 0.2405 0.2500 0.3678 [4 per cell]



Record 4
CaY2Ga6: computed PXRD pattern (Cu Kα (λ = 1.5418 Å)), based on the PBE geometry in Alexandria.

Main lines, sorted by position (2θ from 10° to 80°):
2theta	d [Å]	Rel. int.	index
21.12	4.207	11	0 0 1
32.39	2.764	100	1 1 1
42.71	2.117	51	3 0 0
43.00	2.103	17	0 0 2
48.11	1.891	8	3 0 1
54.60	1.681	22	2 2 1
62.21	1.492	32	3 0 2
71.69	1.316	18	4 1 1
72.11	1.310	9	1 1 3
78.20	1.222	8	3 3 0

Cell and atoms:
Cell lengths 7.3340, 7.3340, 4.2069 Å; angles 90.00, 90.00, 120.00 degrees
Space group P6/mmm (No. 191)
Inequivalent atoms, fractional coordinates:
Ca 0.0000 0.0000 0.0000 [1 per cell]
Y 0.3333 0.6667 0.0000 [2 per cell]
Ga 0.0000 0.3351 0.5000 [6 per cell]



Record 5
LiPmH8Rh2: computed PXRD pattern (Cu Kα (λ = 1.5418 Å)), based on the PBE geometry in Alexandria.

Main lines, sorted by position (2θ from 10° to 80°):
2theta	d [Å]	Rel. int.	index
22.21	4.003	100	1 0 1
31.07	2.878	53	1 0 4
35.42	2.535	87	0 1 5
37.69	2.386	80	1 1 0
44.18	2.050	16	0 2 1
49.62	1.837	15	0 2 4
51.30	1.781	25	0 0 9
52.68	1.737	28	2 0 5
62.06	1.496	18	1 0 10
66.58	1.405	28	1 2 5

Cell and atoms:
Cell lengths 4.7729, 4.7729, 16.0424 Å; angles 90.00, 90.00, 120.00 degrees
Space group R-3 (No. 148, hexagonal axes)
Inequivalent atoms, fractional coordinates:
Li 0.0000 0.0000 0.0000 [3 per cell]
Pm 0.0000 0.0000 0.5000 [3 per cell]
H 0.0000 0.0000 0.1916 [6 per cell]
H 0.0075 0.7262 0.3790 [18 per cell]
Rh 0.0000 0.0000 0.2977 [6 per cell]



Record 6
Na2LiPSe4: computed PXRD pattern (Cu Kα (λ = 1.5418 Å)), based on the PBE geometry in Alexandria.

Main lines, sorted by position (2θ from 10° to 80°):
2theta	d [Å]	Rel. int.	index
16.71	5.304	35	1 1 0
17.39	5.100	16	0 0 1
28.75	3.105	82	2 2 -1
29.96	2.982	100	3 1 -1
35.19	2.550	16	0 0 2
39.20	2.298	14	3 1 -3
46.06	1.971	18	2 2 1
51.70	1.768	23	3 3 -3
53.69	1.707	22	5 1 -1
58.11	1.587	15	5 3 -2

Cell and atoms:
Cell lengths 10.1938, 7.8271, 7.2116 Å; angles 90.00, 134.96, 90.00 degrees
Space group C2 (No. 5)
Inequivalent atoms, fractional coordinates:
Na 0.0000 0.0000 0.0000 [2 per cell]
Na 0.0000 0.2517 0.5000 [2 per cell]
Li 0.0000 0.5009 0.0000 [2 per cell]
P 0.0000 0.7514 0.5000 [2 per cell]
Se 0.1618 0.5910 0.8610 [4 per cell]
Se 0.1993 0.9122 0.5374 [4 per cell]



Record 7
Li2GaSn4: computed PXRD pattern (Cu Kα (λ = 1.5418 Å)), based on the PBE geometry in Alexandria.

Main lines, sorted by position (2θ from 10° to 80°):
2theta	d [Å]	Rel. int.	index
19.14	4.637	100	0 0 2
28.38	3.145	39	0 2 0
29.15	3.064	68	4 0 0
34.46	2.603	95	0 2 2
35.11	2.556	50	4 0 2
38.84	2.318	35	0 0 4
41.13	2.195	33	4 2 0
45.74	1.984	82	4 2 2
49.29	1.849	33	4 0 4
57.85	1.594	25	4 2 4

Cell and atoms:
Cell lengths 12.2557, 6.2903, 9.2735 Å; angles 90.00, 90.00, 90.00 degrees
Space group Cmce (No. 64)
Inequivalent atoms, fractional coordinates:
Li 0.1361 0.0000 0.0000 [8 per cell]
Ga 0.0000 0.0000 0.5000 [4 per cell]
Sn 0.0000 0.2503 0.2501 [8 per cell]
Sn 0.2500 0.2491 0.2500 [8 per cell]



Record 8
Li2HfAs: computed PXRD pattern (Cu Kα (λ = 1.5418 Å)), based on the PBE geometry in Alexandria.

Main lines, sorted by position (2θ from 10° to 80°):
2theta	d [Å]	Rel. int.	index
16.92	5.241	100	0 0 4
23.86	3.730	14	1 0 1
26.76	3.332	11	1 0 3
34.22	2.621	21	0 0 8
34.54	2.597	76	1 1 2
42.51	2.127	43	1 1 6
48.00	1.895	14	2 0 0
51.26	1.782	27	2 0 4
55.66	1.651	19	1 1 10
60.26	1.536	14	2 0 8

Cell and atoms:
Cell lengths 3.7904, 3.7904, 20.9648 Å; angles 90.00, 90.00, 90.00 degrees
Space group I-42d (No. 122)
Inequivalent atoms, fractional coordinates:
Li 0.2268 0.2500 0.1250 [8 per cell]
Hf 0.0000 0.0000 0.5000 [4 per cell]
As 0.0000 0.0000 0.0000 [4 per cell]



Record 9
PmAl6Ir3: computed PXRD pattern (Cu Kα (λ = 1.5418 Å)), based on the PBE geometry in Alexandria.

Main lines, sorted by position (2θ from 10° to 80°):
2theta	d [Å]	Rel. int.	index
24.89	3.577	76	1 1 -1
25.50	3.494	38	1 1 1
26.99	3.303	71	2 0 -2
30.36	2.944	100	1 1 2
36.31	2.474	32	2 0 3
38.55	2.336	37	3 1 0
39.08	2.305	43	3 1 -1
42.50	2.127	52	0 2 0
43.49	2.081	78	1 1 -4
44.95	2.017	31	4 0 1

Cell and atoms:
Cell lengths 8.4079, 4.2544, 9.7578 Å; angles 90.00, 94.41, 90.00 degrees
Space group P2_1/m (No. 11)
Inequivalent atoms, fractional coordinates:
Pm 0.0487 0.2500 0.2958 [2 per cell]
Al 0.1277 0.7500 0.0262 [2 per cell]
Al 0.1986 0.2500 0.6208 [2 per cell]
Al 0.3153 0.7500 0.2669 [2 per cell]
Al 0.3230 0.7500 0.7802 [2 per cell]
Al 0.4311 0.2500 0.4227 [2 per cell]
Al 0.4663 0.2500 0.9144 [2 per cell]
Ir 0.1636 0.2500 0.8751 [2 per cell]
Ir 0.2714 0.7500 0.5115 [2 per cell]
Ir 0.3733 0.2500 0.1497 [2 per cell]



Record 10
Ho4PaSe5: computed PXRD pattern (Cu Kα (λ = 1.5418 Å)), based on the PBE geometry in Alexandria.

Main lines, sorted by position (2θ from 10° to 80°):
2theta	d [Å]	Rel. int.	index
26.12	3.412	7	0 0 15
27.18	3.281	20	0 1 5
31.18	2.868	100	1 0 10
44.00	2.058	38	0 1 20
45.35	2.000	36	1 1 0
53.71	1.706	10	0 0 30
56.06	1.640	19	0 2 10
65.03	1.434	12	2 0 20
72.88	1.298	20	1 1 30
74.87	1.268	16	2 1 10

Cell and atoms:
Cell lengths 3.9993, 3.9993, 51.1798 Å; angles 90.00, 90.00, 120.00 degrees
Space group R-3m (No. 166, hexagonal axes)
Inequivalent atoms, fractional coordinates:
Ho 0.0000 0.0000 0.1005 [6 per cell]
Ho 0.0000 0.0000 0.3014 [6 per cell]
Pa 0.0000 0.0000 0.5000 [3 per cell]
Se 0.0000 0.0000 0.0000 [3 per cell]
Se 0.0000 0.0000 0.2014 [6 per cell]
Se 0.0000 0.0000 0.3994 [6 per cell]